No. 1
# LaTa2N6
Calculated powder X-ray diffraction pattern, Cu Kα X-rays. Input: a cell relaxed with GGA-PBE.
Intensities are scaled so that the largest is 100.

The 10 most intense peaks (2θ from 10° to 90°), low angle first:
d = 5.758 Å, intensity 16
d = 3.526 Å, intensity 12
d = 3.007 Å, intensity 100
d = 2.879 Å, intensity 49
d = 1.919 Å, intensity 35
d = 1.763 Å, intensity 43
d = 1.521 Å, intensity 13
d = 1.503 Å, intensity 21
d = 1.298 Å, intensity 24
d = 1.152 Å, intensity 12

Cell and atoms:
```
LaTa2N6
1.0
0.000 4.986 4.986
4.986 0.000 4.986
4.986 4.986 0.000
La Ta N
2 4 12
Cartesian
1.247 1.247 1.247
8.726 8.726 8.726
4.986 2.493 2.493
2.493 4.986 2.493
2.493 2.493 4.986
4.986 4.986 4.986
3.740 3.740 1.405
3.740 1.405 3.740
6.074 3.740 3.740
6.233 6.233 3.898
6.233 3.898 6.233
8.567 6.233 6.233
1.405 3.740 3.740
3.740 6.074 3.740
3.740 3.740 6.074
3.898 6.233 6.233
6.233 8.567 6.233
6.233 6.233 8.567
```

---

No. 2
# LaY2TaN4
Calculated powder X-ray diffraction pattern, Cu Kα X-rays. Input: a cell relaxed with GGA-PBE.
Intensities are scaled so that the largest is 100.

The 10 most intense peaks (2θ from 10° to 90°), low angle first:
d = 6.084 Å, intensity 41
d = 3.043 Å, intensity 62
d = 3.033 Å, intensity 35
d = 2.943 Å, intensity 34
d = 2.909 Å, intensity 100
d = 2.564 Å, intensity 46
d = 2.408 Å, intensity 84
d = 2.148 Å, intensity 25
d = 1.783 Å, intensity 41
d = 1.307 Å, intensity 24

Cell and atoms:
```
LaY2TaN4
1.0
1.722 -6.065 0.000
1.722 6.065 0.000
0.000 0.000 12.171
La Y Ta N
2 4 2 8
Cartesian
1.722 4.933 9.128
1.722 -4.933 3.043
1.722 1.564 6.513
1.722 1.564 11.744
1.722 -1.564 0.427
1.722 -1.564 5.659
1.722 4.046 3.043
1.722 -4.046 9.128
0.000 0.000 0.000
0.000 0.000 6.086
1.722 2.912 1.466
1.722 2.912 4.619
1.722 0.813 9.128
1.722 -0.813 3.043
1.722 -2.912 7.552
1.722 -2.912 10.705
```

---

No. 3
# La2TbN3
Calculated powder X-ray diffraction pattern, Cu Kα X-rays. Input: a cell relaxed with GGA-PBE.
Intensities are scaled so that the largest is 100.

The 10 most intense peaks (2θ from 10° to 90°), low angle first:
d = 3.003 Å, intensity 100
d = 2.632 Å, intensity 25
d = 2.586 Å, intensity 50
d = 1.844 Å, intensity 34
d = 1.828 Å, intensity 17
d = 1.582 Å, intensity 15
d = 1.562 Å, intensity 30
d = 1.501 Å, intensity 17
d = 1.196 Å, intensity 12
d = 1.156 Å, intensity 8

Cell and atoms:
```
La2TbN3
1.0
-1.828 1.828 7.895
1.828 -1.828 7.895
1.828 1.828 -7.895
La Tb N
2 1 3
Cartesian
0.000 0.000 2.527
0.000 0.000 13.262
0.000 0.000 7.895
0.000 0.000 0.000
0.000 0.000 5.471
0.000 0.000 10.318
```

---

No. 4
# LaTb5N6
Calculated powder X-ray diffraction pattern, Cu Kα X-rays. Input: a cell relaxed with GGA-PBE.
Intensities are scaled so that the largest is 100.

The 9 most intense peaks (2θ from 10° to 90°), low angle first:
d = 2.893 Å, intensity 100
d = 2.505 Å, intensity 73
d = 1.771 Å, intensity 50
d = 1.511 Å, intensity 45
d = 1.446 Å, intensity 17
d = 1.253 Å, intensity 8
d = 1.150 Å, intensity 10
d = 1.149 Å, intensity 10
d = 1.120 Å, intensity 22

Cell and atoms:
```
LaTb5N6
1.0
3.069 -5.316 0.000
3.069 5.316 0.000
-2.044 0.000 5.781
La Tb N
1 5 6
Cartesian
0.000 0.000 0.000
2.047 3.525 2.891
3.069 1.769 0.000
2.047 0.000 2.891
3.069 -1.769 0.000
2.047 -3.525 2.891
1.052 1.820 1.471
0.059 0.000 4.315
1.052 -1.820 1.471
3.042 1.820 4.310
4.035 0.000 1.467
3.042 -1.820 4.310
```

---

No. 5
# La2TbTc2N6
Calculated powder X-ray diffraction pattern, Cu Kα X-rays. Input: a cell relaxed with GGA-PBE.
Intensities are scaled so that the largest is 100.

The 10 most intense peaks (2θ from 10° to 90°), low angle first:
d = 2.945 Å, intensity 100
d = 2.895 Å, intensity 94
d = 2.065 Å, intensity 42
d = 1.711 Å, intensity 20
d = 1.681 Å, intensity 39
d = 1.672 Å, intensity 19
d = 1.473 Å, intensity 10
d = 1.448 Å, intensity 15
d = 1.313 Å, intensity 16
d = 1.299 Å, intensity 16

Cell and atoms:
```
La2TbTc2N6
1.0
2.895 1.672 6.066
-2.895 1.672 6.066
0.000 -3.343 6.066
La Tb Tc N
2 1 2 6
Cartesian
0.000 0.000 3.795
0.000 0.000 14.401
0.000 0.000 0.000
0.000 0.000 7.288
0.000 0.000 10.908
-1.487 -0.859 10.374
0.000 -1.717 7.823
-1.487 0.859 7.823
1.487 -0.859 10.374
0.000 1.717 10.374
1.487 0.859 7.823
```

---

No. 6
# LaTb2UN4
Calculated powder X-ray diffraction pattern, Cu Kα X-rays. Input: a cell relaxed with GGA-PBE.
Intensities are scaled so that the largest is 100.

The 10 most intense peaks (2θ from 10° to 90°), low angle first:
d = 2.892 Å, intensity 100
d = 2.505 Å, intensity 70
d = 1.771 Å, intensity 48
d = 1.512 Å, intensity 16
d = 1.509 Å, intensity 30
d = 1.446 Å, intensity 16
d = 1.251 Å, intensity 5
d = 1.149 Å, intensity 20
d = 1.121 Å, intensity 7
d = 1.119 Å, intensity 15

Cell and atoms:
```
LaTb2UN4
1.0
-2.503 2.503 5.017
2.503 -2.503 5.017
2.503 2.503 -5.017
La Tb U N
1 2 1 4
Cartesian
0.000 0.000 0.000
0.000 0.000 5.017
0.000 2.503 2.508
2.503 0.000 2.508
2.503 0.000 0.277
0.000 0.000 2.585
2.503 0.000 4.740
0.000 0.000 7.448
```

---

No. 7
# La2TcN4
Calculated powder X-ray diffraction pattern, Cu Kα X-rays. Input: a cell relaxed with GGA-PBE.
Intensities are scaled so that the largest is 100.

The 10 most intense peaks (2θ from 10° to 90°), low angle first:
d = 4.081 Å, intensity 76
d = 3.779 Å, intensity 49
d = 2.934 Å, intensity 94
d = 2.910 Å, intensity 100
d = 2.892 Å, intensity 60
d = 2.861 Å, intensity 59
d = 2.670 Å, intensity 46
d = 2.399 Å, intensity 59
d = 2.331 Å, intensity 69
d = 2.040 Å, intensity 59

Cell and atoms:
```
La2TcN4
1.0
6.049 0.000 0.000
0.000 5.821 0.000
-2.281 0.000 6.664
La Tc N
4 2 8
Cartesian
1.103 1.455 0.270
0.388 1.455 3.778
3.379 4.365 2.886
2.664 4.365 6.394
-0.272 4.365 5.365
4.039 1.455 1.299
-1.411 2.943 4.989
-1.411 5.788 4.989
2.413 4.365 0.488
1.236 4.365 4.289
2.532 1.455 2.376
1.354 1.455 6.176
5.178 0.033 1.675
5.178 2.878 1.675
```

---

No. 8
# LaTc2N4
Calculated powder X-ray diffraction pattern, Cu Kα X-rays. Input: a cell relaxed with GGA-PBE.
Intensities are scaled so that the largest is 100.

The 10 most intense peaks (2θ from 10° to 90°), low angle first:
d = 4.577 Å, intensity 36
d = 3.163 Å, intensity 100
d = 3.149 Å, intensity 49
d = 2.659 Å, intensity 27
d = 2.635 Å, intensity 26
d = 2.310 Å, intensity 22
d = 2.169 Å, intensity 22
d = 2.024 Å, intensity 71
d = 1.618 Å, intensity 18
d = 1.356 Å, intensity 18

Cell and atoms:
```
LaTc2N4
1.0
2.635 -4.620 0.000
2.635 4.620 0.000
0.000 0.000 8.677
La Tc N
2 4 8
Cartesian
0.000 0.000 2.169
0.000 0.000 6.508
2.627 2.135 0.000
2.642 2.135 4.338
2.627 -2.135 4.338
2.642 -2.135 0.000
1.317 2.310 2.950
1.317 2.310 5.727
1.131 0.894 0.000
1.131 -0.894 4.338
1.317 -2.310 1.389
1.317 -2.310 7.288
4.138 0.894 4.338
4.138 -0.894 0.000
```